Computed powder diffractogram of Li7Mn2Co3O12 for λ = 1.5418 Å (Cu Kα), from a DFT-relaxed cell (GGA+U, the Materials Project).
Neutral-atom scattering factors, no anomalous dispersion.

Crystal structure
Cell: 2.950 7.774 10.155 Å, 110.35 91.20 98.11°
Space group P1 (No. 1)
Asymmetric unit:
Li: 0.000 0.000 0.000 [1 per cell]
Li: 0.010 0.009 0.518 [1 per cell]
Li: 0.330 0.667 0.344 [1 per cell]
Li: 0.345 0.681 0.844 [1 per cell]
Li: 0.485 0.999 0.768 [1 per cell]
Li: 0.649 0.333 0.686 [1 per cell]
Li: 0.667 0.336 0.173 [1 per cell]
Mn: 0.171 0.335 0.428 [1 per cell]
Mn: 0.845 0.681 0.600 [1 per cell]
Co: 0.159 0.323 0.921 [1 per cell]
Co: 0.500 0.998 0.260 [1 per cell]
Co: 0.828 0.665 0.087 [1 per cell]
O: 0.083 0.161 0.229 [1 per cell]
O: 0.096 0.193 0.740 [1 per cell]
O: 0.248 0.498 0.117 [1 per cell]
O: 0.285 0.521 0.625 [1 per cell]
O: 0.395 0.819 0.559 [1 per cell]
O: 0.407 0.831 0.058 [1 per cell]
O: 0.552 0.173 0.469 [1 per cell]
O: 0.560 0.185 0.968 [1 per cell]
O: 0.782 0.496 0.895 [1 per cell]
O: 0.792 0.503 0.396 [1 per cell]
O: 0.904 0.822 0.788 [1 per cell]
O: 0.905 0.838 0.294 [1 per cell]

Most intense lines, 2θ = 10–80°, in order of falling intensity:
18.38 deg, rel. 100
42.12 deg, rel. 33
44.32 deg, rel. 28
44.21 deg, rel. 27
35.02 deg, rel. 16
36.49 deg, rel. 13